Ac8Ni3Os: calculated PXRD pattern (a wavelength of 1.5418 Å), based on DFT lattice parameters and positions (PBE).
Lines closer than 0.1° are merged.

Main lines, sorted by position (2θ from 10° to 90°):
- d 6.746, I = 17
- d 3.529, I = 62
- d 3.373, I = 17
- d 3.021, I = 100
- d 2.174, I = 41
- d 2.100, I = 34
- d 1.827, I = 19
- d 1.765, I = 21
- d 1.510, I = 12
- d 1.370, I = 19

```
data_Ac8Ni3Os
_cell_length_a 14.4052
_cell_length_b 8.6950
_cell_length_c 8.4020
_cell_angle_alpha 90.00
_cell_angle_beta 122.90
_cell_angle_gamma 90.00
_symmetry_space_group_name_H-M 'C 1 2/m 1'
_symmetry_Int_Tables_number 12
loop_
_symmetry_equiv_pos_as_xyz
'x,y,z'
'-x,-y,-z'
'-x,y,-z'
'x,-y,z'
'x+1/2,y+1/2,z'
'-x+1/2,-y+1/2,-z'
'-x+1/2,y+1/2,-z'
'x+1/2,-y+1/2,z'
loop_
_atom_site_label
_atom_site_fract_x
_atom_site_fract_y
_atom_site_fract_z
Ac1 0.0045 0.2469 0.2429
Ac2 0.2412 0.5000 0.2585
Ac3 0.2425 0.0000 0.2506
Ni1 0.0000 0.5000 0.0000
Ni2 0.2500 0.2500 0.5000
Os1 0.0000 0.0000 0.0000
```